For Dy8Mg, a cell relaxed with GGA-PBE gives the calculated powder X-ray diffraction pattern in this record (Cu Kα X-rays).
Peak positions follow from Bragg's law for the DFT cell and can differ from measured ones.

Atomic structure:
Cell: 8.809 8.809 8.809 Å, 92.57 92.57 155.57°
Positions (direct):
Dy  0.000  0.336  0.336
Dy  0.000  0.664  0.664
Dy  0.336  0.000  0.336
Dy  0.341  0.341  0.681
Dy  0.341  0.659  0.000
Dy  0.659  0.341  0.000
Dy  0.659  0.659  0.319
Dy  0.664  0.000  0.664
Mg  0.000  0.000  0.000

Most intense lines, 5 to 70 degrees two-theta, by angle:
| 2θ/deg | I/Imax |
| --- | --- |
| 10.27 | 6 |
| 23.10 | 4 |
| 24.98 | 3 |
| 29.03 | 3 |
| 31.16 | 56 |
| 32.62 | 100 |
| 44.65 | 20 |
| 48.87 | 8 |
| 56.38 | 41 |
| 59.11 | 18 |
| 64.99 | 6 |
| 68.34 | 12 |


For Dy3Mg11, a cell relaxed with GGA-PBE gives the calculated powder X-ray diffraction pattern in this record (Cu Kα X-rays).
Peak positions follow from Bragg's law for the DFT cell and can differ from measured ones.

Atomic structure:
Cell: 8.832 8.832 8.832 Å, 147.22 100.54 88.64°
Positions (direct):
Dy  0.000  0.000  0.000
Dy  0.281  0.281  0.000
Dy  0.719  0.719  0.000
Mg  0.006  0.633  0.373
Mg  0.128  0.855  0.273
Mg  0.260  0.633  0.627
Mg  0.346  0.500  0.846
Mg  0.418  0.145  0.273
Mg  0.500  0.000  0.500
Mg  0.582  0.855  0.727
Mg  0.654  0.500  0.154
Mg  0.740  0.367  0.373
Mg  0.872  0.145  0.727
Mg  0.994  0.367  0.627

Most intense lines, 5 to 70 degrees two-theta, by angle:
| 2θ/deg | I/Imax |
| --- | --- |
| 15.70 | 76 |
| 19.47 | 100 |
| 22.53 | 25 |
| 29.75 | 63 |
| 31.89 | 28 |
| 32.02 | 83 |
| 32.48 | 43 |
| 34.54 | 70 |
| 36.04 | 40 |
| 42.95 | 25 |
| 49.29 | 27 |
| 64.00 | 26 |